Starting from the GGA-PBE geometry in Alexandria, the powder diffractogram of La3PrInCo was simulated for Cu Kα (λ = 1.5418 Å).

```
La3PrInCo
1.0
8.6841 -3.6088 0.0000
8.6841 3.6088 0.0000
-2.1054 0.0000 5.7598
La Pr In Co
6 2 2 2
direct
0.1245 0.6362 0.8841 La
0.3052 0.3052 0.2956 La
0.3638 0.8755 0.1159 La
0.6362 0.1245 0.8841 La
0.6948 0.6948 0.7044 La
0.8755 0.3638 0.1159 La
0.2398 0.7602 0.5000 Pr
0.7602 0.2398 0.5000 Pr
0.1913 0.1913 0.6934 In
0.8087 0.8087 0.3066 In
0.4673 0.4673 0.1485 Co
0.5327 0.5327 0.8515 Co
```

Most intense lines, 2θ from 10° to 90°, low angle first:
| 2theta | I (rel.) |
| --- | --- |
| 27.02 | 38.5 |
| 29.13 | 76.7 |
| 30.91 | 48.8 |
| 31.19 | 64.8 |
| 33.11 | 100.0 |
| 33.26 | 74.2 |
| 40.06 | 24.2 |
| 40.23 | 23.3 |
| 51.48 | 31.8 |
| 60.43 | 24.2 |


Starting from the GGA-PBE geometry in Alexandria, the powder diffractogram of Tl6AgHg23 was simulated for Cu Kα (λ = 1.5418 Å).

```
Tl6AgHg23
1.0
0.0000 7.4967 7.4967
7.4967 0.0000 7.4967
7.4967 7.4967 0.0000
Tl Ag Hg
6 1 23
direct
0.2133 0.2133 0.7867 Tl
0.2133 0.7867 0.2133 Tl
0.2133 0.7867 0.7867 Tl
0.7867 0.2133 0.2133 Tl
0.7867 0.2133 0.7867 Tl
0.7867 0.7867 0.2133 Tl
0.0000 0.0000 0.0000 Ag
0.0000 0.0000 0.5000 Hg
0.0000 0.5000 0.0000 Hg
0.0000 0.5000 0.5000 Hg
0.1391 0.6203 0.6203 Hg
0.1561 0.1561 0.1561 Hg
0.1561 0.1561 0.5316 Hg
0.1561 0.5316 0.1561 Hg
0.3797 0.3797 0.3797 Hg
0.3797 0.3797 0.8609 Hg
0.3797 0.8609 0.3797 Hg
0.4684 0.8439 0.8439 Hg
0.5000 0.0000 0.0000 Hg
0.5000 0.0000 0.5000 Hg
0.5000 0.5000 0.0000 Hg
0.5000 0.5000 0.5000 Hg
0.5316 0.1561 0.1561 Hg
0.6203 0.1391 0.6203 Hg
0.6203 0.6203 0.1391 Hg
0.6203 0.6203 0.6203 Hg
0.8439 0.4684 0.8439 Hg
0.8439 0.8439 0.4684 Hg
0.8439 0.8439 0.8439 Hg
0.8609 0.3797 0.3797 Hg
```

Most intense lines, 2θ from 10° to 90°, low angle first:
| 2theta | I (rel.) |
| --- | --- |
| 29.18 | 6.8 |
| 30.99 | 30.4 |
| 33.82 | 100.0 |
| 46.52 | 10.5 |
| 48.58 | 11.4 |
| 58.75 | 7.9 |
| 60.50 | 19.8 |
| 61.54 | 7.6 |
| 64.26 | 10.6 |
| 86.93 | 7.5 |


Starting from the GGA-PBE geometry in Alexandria, the powder diffractogram of Ba3Tm2Ag2Bi4 was simulated for Cu Kα (λ = 1.5418 Å).

```
Ba3Tm2Ag2Bi4
1.0
5.0116 0.0000 0.0000
-2.5058 4.3402 0.0000
0.0000 0.0000 18.2954
Ba Tm Ag Bi
3 2 2 4
direct
0.0000 0.0000 0.0000 Ba
0.0000 0.0000 0.2557 Ba
0.0000 0.0000 0.7443 Ba
0.3333 0.6667 0.5588 Tm
0.6667 0.3333 0.4412 Tm
0.3333 0.6667 0.1310 Ag
0.6667 0.3333 0.8690 Ag
0.3333 0.6667 0.3804 Bi
0.3333 0.6667 0.8714 Bi
0.6667 0.3333 0.1286 Bi
0.6667 0.3333 0.6196 Bi
```

Most intense lines, 2θ from 10° to 90°, low angle first:
| 2theta | I (rel.) |
| --- | --- |
| 19.41 | 17.9 |
| 22.68 | 32.5 |
| 25.18 | 20.4 |
| 28.35 | 100.0 |
| 35.84 | 99.2 |
| 36.00 | 34.7 |
| 46.31 | 26.3 |
| 54.31 | 21.9 |
| 59.90 | 24.5 |
| 64.40 | 18.2 |


Starting from the GGA-PBE geometry in Alexandria, the powder diffractogram of Tl2Hg9Bi was simulated for Cu Kα (λ = 1.5418 Å).

```
Tl2Hg9Bi
1.0
3.5273 0.0000 0.0000
0.0000 5.6034 0.0000
0.0000 0.0000 17.2223
Tl Hg Bi
2 9 1
direct
0.0000 0.0000 0.1749 Tl
0.0000 0.0000 0.8251 Tl
0.0000 0.5000 0.0000 Hg
0.0000 0.5000 0.3341 Hg
0.0000 0.5000 0.6659 Hg
0.5000 0.0000 0.0000 Hg
0.5000 0.0000 0.3361 Hg
0.5000 0.0000 0.6639 Hg
0.5000 0.5000 0.1671 Hg
0.5000 0.5000 0.5000 Hg
0.5000 0.5000 0.8329 Hg
0.0000 0.0000 0.5000 Bi
```

Most intense lines, 2θ from 10° to 90°, low angle first:
| 2theta | I (rel.) |
| --- | --- |
| 31.16 | 30.5 |
| 31.94 | 29.2 |
| 33.85 | 100.0 |
| 45.23 | 22.4 |
| 57.18 | 22.1 |
| 58.15 | 21.7 |
| 61.73 | 9.0 |
| 62.20 | 9.2 |
| 71.21 | 12.0 |
| 76.16 | 9.7 |


> Number 2 is which compound?

Tl6AgHg23